# 1
Simulated X-ray powder pattern
Compound: Li8Cd2Sn3
Radiation: Cu Kα
Structure: a crystal structure in Alexandria, relaxed with GGA-PBE
Peak positions follow from Bragg's law for the DFT cell and can differ from measured ones.

Crystal structure
Cell: 10.4854 10.4854 10.4854 Å, 30.50 30.50 30.50°
Positions (direct):
Li 0.2231 0.2231 0.2231
Li 0.2264 0.2264 0.7217
Li 0.2264 0.7217 0.2264
Li 0.2783 0.7736 0.7736
Li 0.7217 0.2264 0.2264
Li 0.7736 0.2783 0.7736
Li 0.7736 0.7736 0.2783
Li 0.7769 0.7769 0.7769
Cd 0.1322 0.1322 0.1322
Cd 0.8678 0.8678 0.8678
Sn 0.3157 0.3157 0.3157
Sn 0.5000 0.5000 0.5000
Sn 0.6843 0.6843 0.6843

Peak list (10 most intense, 2θ from 15° to 90°, in order of rising 2θ)
2θ/deg	I (rel.)
17.76	41
23.82	100
32.46	83
37.24	46
38.02	56
40.66	28
50.83	21
52.47	17
52.96	23
61.62	27

---

# 2
Simulated X-ray powder pattern
Compound: Li2CdSn4
Radiation: Cu Kα
Structure: a crystal structure in Alexandria, relaxed with GGA-PBE
Peak positions follow from Bragg's law for the DFT cell and can differ from measured ones.

Crystal structure
Cell: 6.8519 6.8519 9.5753 Å, 90.00 90.00 54.91°
Positions (direct):
Li 0.1377 0.1377 0.0000
Li 0.3623 0.3623 0.5000
Li 0.6377 0.6377 0.5000
Li 0.8623 0.8623 0.0000
Cd 0.0000 0.0000 0.5000
Cd 0.5000 0.5000 0.0000
Sn 0.0030 0.4970 0.2500
Sn 0.2455 0.7545 0.7514
Sn 0.2545 0.7455 0.2514
Sn 0.4970 0.0030 0.7500
Sn 0.5030 0.9970 0.2500
Sn 0.7455 0.2545 0.7486
Sn 0.7545 0.2455 0.2486
Sn 0.9970 0.5030 0.7500

Peak list (10 most intense, 2θ from 15° to 90°, in order of rising 2θ)
2θ/deg	I (rel.)
18.34	29
18.53	76
28.25	28
29.38	68
34.00	100
34.96	36
37.57	38
45.54	84
48.40	35
71.63	36

---

# 3
Simulated X-ray powder pattern
Compound: Sr2LiCd3Sn4
Radiation: Cu Kα
Structure: a crystal structure in Alexandria, relaxed with GGA-PBE
Peak positions follow from Bragg's law for the DFT cell and can differ from measured ones.

Crystal structure
Cell: 4.7425 4.7425 12.5140 Å, 90.00 90.00 90.00°
Positions (direct):
Sr 0.0000 0.5000 0.2378
Sr 0.5000 0.0000 0.7622
Li 0.5000 0.5000 0.0000
Cd 0.0000 0.0000 0.0000
Cd 0.0000 0.5000 0.6460
Cd 0.5000 0.0000 0.3540
Sn 0.0000 0.0000 0.5000
Sn 0.0000 0.5000 0.8677
Sn 0.5000 0.0000 0.1323
Sn 0.5000 0.5000 0.5000

Peak list (10 most intense, 2θ from 15° to 90°, in order of rising 2θ)
2θ/deg	I (rel.)
20.02	33
28.50	54
30.24	100
37.94	73
39.39	51
40.76	44
48.13	26
54.75	25
56.91	32
63.82	24

---

# 4
Simulated X-ray powder pattern
Compound: Sr2Li6Cd3
Radiation: Cu Kα
Structure: a crystal structure in Alexandria, relaxed with GGA-PBE
Peak positions follow from Bragg's law for the DFT cell and can differ from measured ones.

Crystal structure
Cell: 8.3506 8.3506 4.7719 Å, 90.00 90.00 120.00°
Positions (direct):
Sr 0.3333 0.6667 0.0000
Sr 0.6667 0.3333 0.0000
Li 0.0000 0.2410 0.5000
Li 0.0000 0.7993 0.0000
Li 0.2007 0.2007 0.0000
Li 0.2410 0.0000 0.5000
Li 0.7590 0.7590 0.5000
Li 0.7993 0.0000 0.0000
Cd 0.0000 0.6006 0.5000
Cd 0.3994 0.3994 0.5000
Cd 0.6006 0.0000 0.5000

Peak list (10 most intense, 2θ from 15° to 90°, in order of rising 2θ)
2θ/deg	I (rel.)
21.28	37
28.40	100
31.03	36
32.76	16
37.30	20
37.70	15
37.94	19
45.21	20
49.28	15
60.28	16

---

# 5
Simulated X-ray powder pattern
Compound: SrLi3Cd
Radiation: Cu Kα
Structure: a crystal structure in Alexandria, relaxed with GGA-PBE
Peak positions follow from Bragg's law for the DFT cell and can differ from measured ones.

Crystal structure
Cell: 7.1726 7.1726 6.0750 Å, 90.00 90.00 120.00°
Positions (direct):
Sr 0.3333 0.6667 0.2500
Sr 0.6667 0.3333 0.7500
Li 0.1895 0.3790 0.7500
Li 0.1895 0.8105 0.7500
Li 0.3790 0.1895 0.2500
Li 0.6210 0.8105 0.7500
Li 0.8105 0.1895 0.2500
Li 0.8105 0.6210 0.2500
Cd 0.0000 0.0000 0.0000
Cd 0.0000 0.0000 0.5000

Peak list (10 most intense, 2θ from 15° to 90°, in order of rising 2θ)
2θ/deg	I (rel.)
20.45	40
24.83	100
32.37	20
32.82	62
41.22	15
41.59	35
43.72	21
49.04	36
50.93	16
61.92	19

---

# 6
Simulated X-ray powder pattern
Compound: SrLi5Cd7
Radiation: Cu Kα
Structure: a crystal structure in Alexandria, relaxed with GGA-PBE
Peak positions follow from Bragg's law for the DFT cell and can differ from measured ones.

Crystal structure
Cell: 7.6464 7.6464 5.4149 Å, 110.60 110.60 83.09°
Positions (direct):
Sr 0.0000 0.0000 0.0000
Li 0.2274 0.2274 0.7271
Li 0.5011 0.9990 0.0014
Li 0.5019 0.9988 0.4982
Li 0.9990 0.5011 0.0014
Li 0.9988 0.5019 0.4982
Cd 0.2193 0.7897 0.5031
Cd 0.3465 0.3465 0.3459
Cd 0.3492 0.6425 0.9957
Cd 0.6425 0.3492 0.9957
Cd 0.6498 0.6498 0.6506
Cd 0.7840 0.7840 0.2852
Cd 0.7897 0.2193 0.5031

Peak list (10 most intense, 2θ from 15° to 90°, in order of rising 2θ)
2θ/deg	I (rel.)
17.55	56
24.88	43
31.20	77
33.09	66
36.02	100
36.10	37
37.68	25
40.30	49
41.84	27
63.98	29

---

# 7
Simulated X-ray powder pattern
Compound: Sr6Li15Cd8
Radiation: Cu Kα
Structure: a crystal structure in Alexandria, relaxed with GGA-PBE
Peak positions follow from Bragg's law for the DFT cell and can differ from measured ones.

Crystal structure
Cell: 10.1537 10.1537 10.1537 Å, 60.00 60.00 60.00°
Positions (direct):
Sr 0.2157 0.2157 0.7843
Sr 0.2157 0.7843 0.2157
Sr 0.2157 0.7843 0.7843
Sr 0.7843 0.2157 0.2157
Sr 0.7843 0.2157 0.7843
Sr 0.7843 0.7843 0.2157
Li 0.0000 0.0000 0.5000
Li 0.0000 0.5000 0.0000
Li 0.0000 0.5000 0.5000
Li 0.1782 0.1782 0.1782
Li 0.1782 0.1782 0.4653
Li 0.1782 0.4653 0.1782
Li 0.4653 0.1782 0.1782
Li 0.5000 0.0000 0.0000
Li 0.5000 0.0000 0.5000
Li 0.5000 0.5000 0.0000
Li 0.5000 0.5000 0.5000
Li 0.5347 0.8218 0.8218
Li 0.8218 0.5347 0.8218
Li 0.8218 0.8218 0.5347
Li 0.8218 0.8218 0.8218
Cd 0.1241 0.6253 0.6253
Cd 0.3747 0.3747 0.3747
Cd 0.3747 0.3747 0.8759
Cd 0.3747 0.8759 0.3747
Cd 0.6253 0.1241 0.6253
Cd 0.6253 0.6253 0.1241
Cd 0.6253 0.6253 0.6253
Cd 0.8759 0.3747 0.3747

Peak list (10 most intense, 2θ from 15° to 90°, in order of rising 2θ)
2θ/deg	I (rel.)
20.51	34
21.44	27
27.07	53
32.40	42
35.36	100
50.87	14
52.14	18
55.41	12
63.47	25
67.47	14

---

# 8
Simulated X-ray powder pattern
Compound: Sr2Li3Cd5
Radiation: Cu Kα
Structure: a crystal structure in Alexandria, relaxed with GGA-PBE
Peak positions follow from Bragg's law for the DFT cell and can differ from measured ones.

Crystal structure
Cell: 9.5496 9.5496 9.5496 Å, 106.74 87.32 139.35°
Positions (direct):
Sr 0.1343 0.2264 0.3607
Sr 0.3657 0.7264 0.0920
Sr 0.6343 0.2736 0.9080
Sr 0.8657 0.7736 0.6393
Li 0.1413 0.9064 0.0477
Li 0.2500 0.7500 0.5000
Li 0.3587 0.4064 0.7651
Li 0.6413 0.5936 0.2349
Li 0.7500 0.2500 0.5000
Li 0.8587 0.0936 0.9523
Cd 0.0341 0.7500 0.2841
Cd 0.1014 0.6688 0.7702
Cd 0.2500 0.2500 0.0000
Cd 0.3986 0.1688 0.5673
Cd 0.4659 0.7500 0.7159
Cd 0.5341 0.2500 0.2841
Cd 0.6014 0.8312 0.4327
Cd 0.7500 0.7500 0.0000
Cd 0.8986 0.3312 0.2298
Cd 0.9659 0.2500 0.7159

Peak list (10 most intense, 2θ from 15° to 90°, in order of rising 2θ)
2θ/deg	I (rel.)
20.80	45
21.54	27
28.32	28
30.25	88
31.20	100
34.23	22
37.59	61
41.09	21
44.01	18
59.73	23

---

# 9
Simulated X-ray powder pattern
Compound: Sr2Li2Cd15
Radiation: Cu Kα
Structure: a crystal structure in Alexandria, relaxed with GGA-PBE
Peak positions follow from Bragg's law for the DFT cell and can differ from measured ones.

Crystal structure
Cell: 7.7611 7.7611 7.7611 Å, 82.46 82.46 82.46°
Positions (direct):
Sr 0.1603 0.1603 0.1603
Sr 0.8397 0.8397 0.8397
Li 0.4008 0.4008 0.4008
Li 0.5992 0.5992 0.5992
Cd 0.0000 0.5000 0.5000
Cd 0.1471 0.1471 0.6534
Cd 0.1471 0.6534 0.1471
Cd 0.2076 0.5000 0.7924
Cd 0.2076 0.7924 0.5000
Cd 0.3466 0.8529 0.8529
Cd 0.5000 0.0000 0.5000
Cd 0.5000 0.2076 0.7924
Cd 0.5000 0.5000 0.0000
Cd 0.5000 0.7924 0.2076
Cd 0.6534 0.1471 0.1471
Cd 0.7924 0.2076 0.5000
Cd 0.7924 0.5000 0.2076
Cd 0.8529 0.3466 0.8529
Cd 0.8529 0.8529 0.3466

Peak list (10 most intense, 2θ from 15° to 90°, in order of rising 2θ)
2θ/deg	I (rel.)
17.34	58
31.12	16
35.09	39
35.23	100
35.67	43
35.98	15
39.52	78
50.90	18
62.94	16
74.50	15

---

# 10
Simulated X-ray powder pattern
Compound: Sr3Li2Cd7
Radiation: Cu Kα
Structure: a crystal structure in Alexandria, relaxed with GGA-PBE
Peak positions follow from Bragg's law for the DFT cell and can differ from measured ones.

Crystal structure
Cell: 10.3857 10.3857 10.3857 Å, 34.18 34.18 34.18°
Positions (direct):
Sr 0.0000 0.0000 0.0000
Sr 0.1406 0.1406 0.1406
Sr 0.8594 0.8594 0.8594
Li 0.3333 0.3333 0.3333
Li 0.6667 0.6667 0.6667
Cd 0.0771 0.5803 0.5803
Cd 0.4197 0.4197 0.9229
Cd 0.4197 0.9229 0.4197
Cd 0.5000 0.5000 0.5000
Cd 0.5803 0.0771 0.5803
Cd 0.5803 0.5803 0.0771
Cd 0.9229 0.4197 0.4197

Peak list (10 most intense, 2θ from 15° to 90°, in order of rising 2θ)
2θ/deg	I (rel.)
18.16	39
27.17	42
29.67	60
34.05	85
34.47	51
34.65	100
36.80	31
37.31	56
56.04	34
60.68	38

---

# 11
Simulated X-ray powder pattern
Compound: Sr3Li2Cd
Radiation: Cu Kα
Structure: a crystal structure in Alexandria, relaxed with GGA-PBE
Peak positions follow from Bragg's law for the DFT cell and can differ from measured ones.

Crystal structure
Cell: 4.1340 4.1340 12.6752 Å, 90.00 90.00 90.00°
Positions (direct):
Sr 0.0000 0.0000 0.0000
Sr 0.0000 0.0000 0.3434
Sr 0.0000 0.0000 0.6566
Li 0.5000 0.5000 0.1704
Li 0.5000 0.5000 0.8296
Cd 0.5000 0.5000 0.5000

Peak list (10 most intense, 2θ from 15° to 90°, in order of rising 2θ)
2θ/deg	I (rel.)
21.50	15
22.62	14
30.25	100
30.58	49
43.80	18
53.52	19
54.15	38
62.91	11
87.81	9
88.32	10

---

# 12
Simulated X-ray powder pattern
Compound: SrLiCd5
Radiation: Cu Kα
Structure: a crystal structure in Alexandria, relaxed with GGA-PBE
Peak positions follow from Bragg's law for the DFT cell and can differ from measured ones.

Crystal structure
Cell: 5.4943 5.4943 7.1799 Å, 90.00 90.00 117.23°
Positions (direct):
Sr 0.0000 0.0000 0.0000
Li 0.5000 0.5000 0.5000
Cd 0.0000 0.0000 0.5000
Cd 0.0000 0.5000 0.2848
Cd 0.0000 0.5000 0.7152
Cd 0.5000 0.0000 0.2848
Cd 0.5000 0.0000 0.7152

Peak list (10 most intense, 2θ from 15° to 90°, in order of rising 2θ)
2θ/deg	I (rel.)
18.16	39
18.92	28
30.91	21
31.38	100
36.79	74
38.38	33
40.31	50
56.87	35
64.42	21
74.15	16